# 1
Calculated powder diffraction line list of Y6Ga2S for Cu Kα, 1.54184 Å, from a DFT-relaxed cell (GGA-PBE, Alexandria).
Kinematic intensities with the Lorentz-polarization factor, no thermal factor.

Cell and atoms:
```
data_Y6Ga2S
_symmetry_space_group_name_H-M 'P 1 21/c 1'
_symmetry_Int_Tables_number 14
_symmetry_space_group_name_Hall '-P 2ybc'
_cell_length_a 6.398
_cell_length_b 7.854
_cell_length_c 11.565
_cell_angle_alpha 90.00
_cell_angle_beta 123.18
_cell_angle_gamma 90.00
loop_
_atom_site_label
_atom_site_type_symbol
_atom_site_fract_x
_atom_site_fract_y
_atom_site_fract_z
_atom_site_occupancy
Y1 Y 0.088 0.180 0.436 1
Y2 Y 0.285 0.679 0.435 1
Y3 Y 0.393 0.037 0.262 1
Ga1 Ga 0.188 0.120 0.748 1
S1 S 0.000 0.000 0.000 1
```

Main lines, by angle (10° ≤ 2θ ≤ 90°):
- 28.22 deg, rel. 66, (1 2 -2)
- 29.29 deg, rel. 71, (0 2 2)
- 30.17 deg, rel. 61, (2 1 -2)
- 30.95 deg, rel. 60, (1 0 2)
- 31.52 deg, rel. 50, (2 1 -1)
- 31.64 deg, rel. 78, (2 1 -3)
- 32.47 deg, rel. 50, (1 2 1)
- 33.21 deg, rel. 56, (1 1 -4)
- 36.03 deg, rel. 51, (0 2 3)
- 37.12 deg, rel. 100, (1 3 -1)

=====

# 2
Calculated powder diffraction line list of La2PRu for Cu Kα, 1.54184 Å, from a DFT-relaxed cell (GGA-PBE, Alexandria).
Kinematic intensities with the Lorentz-polarization factor, no thermal factor.

Cell and atoms:
```
data_La2PRu
_symmetry_space_group_name_H-M 'A m m 2'
_symmetry_Int_Tables_number 38
_symmetry_space_group_name_Hall 'A 2 -2'
_cell_length_a 4.193
_cell_length_b 4.234
_cell_length_c 10.818
_cell_angle_alpha 90.00
_cell_angle_beta 90.00
_cell_angle_gamma 90.00
loop_
_atom_site_label
_atom_site_type_symbol
_atom_site_fract_x
_atom_site_fract_y
_atom_site_fract_z
_atom_site_occupancy
La1 La 0.000 0.000 0.000 1
La2 La 0.500 0.000 0.275 1
P1 P 0.000 0.000 0.703 1
Ru1 Ru 0.500 0.000 0.571 1
```

Main lines, by angle (10° ≤ 2θ ≤ 90°):
- 26.90 deg, rel. 31, (1 0 2)
- 31.14 deg, rel. 100, (1 1 1)
- 32.62 deg, rel. 49, (0 1 3)
- 33.12 deg, rel. 23, (0 0 4)
- 39.23 deg, rel. 54, (1 1 3)
- 42.71 deg, rel. 24, (0 2 0)
- 43.15 deg, rel. 23, (2 0 0)
- 55.11 deg, rel. 33, (2 1 3)
- 55.47 deg, rel. 25, (1 0 6)
- 72.44 deg, rel. 22, (1 2 6)

=====

# 3
Calculated powder diffraction line list of MoAuS for Cu Kα, 1.54184 Å, from a DFT-relaxed cell (GGA-PBE, Alexandria).
Kinematic intensities with the Lorentz-polarization factor, no thermal factor.

Cell and atoms:
```
data_MoAuS
_symmetry_space_group_name_H-M 'C 1 2/m 1'
_symmetry_Int_Tables_number 12
_symmetry_space_group_name_Hall '-C 2y'
_cell_length_a 5.578
_cell_length_b 4.433
_cell_length_c 9.123
_cell_angle_alpha 90.00
_cell_angle_beta 94.39
_cell_angle_gamma 90.00
loop_
_atom_site_label
_atom_site_type_symbol
_atom_site_fract_x
_atom_site_fract_y
_atom_site_fract_z
_atom_site_occupancy
Mo1 Mo 0.199 0.000 0.095 1
Au1 Au 0.218 0.500 0.589 1
S1 S 0.190 0.000 0.829 1
```

Main lines, by angle (10° ≤ 2θ ≤ 90°):
- 19.52 deg, rel. 32, (0 0 2)
- 27.09 deg, rel. 100, (1 1 -1)
- 31.70 deg, rel. 29, (1 1 -2)
- 32.19 deg, rel. 71, (2 0 0)
- 38.50 deg, rel. 75, (1 1 -3)
- 40.45 deg, rel. 89, (1 1 3)
- 40.71 deg, rel. 50, (0 2 0)
- 49.82 deg, rel. 23, (2 0 -4)
- 52.82 deg, rel. 34, (2 2 0)
- 53.83 deg, rel. 32, (3 1 -1)